1.
# Ho6ZnCo2
Calculated powder diffractogram, copper Kα. Input: a DFT-relaxed cell (PBE, Alexandria).
No peak broadening, texture or thermal motion is included.

Structural model:
abc: 8.219 8.219 8.219
angles: 111.90 109.92 106.64
Fractional positions:
Ho 0.045 0.239 0.805
Ho 0.180 0.279 0.459
Ho 0.180 0.721 0.901
Ho 0.325 0.013 0.687
Ho 0.325 0.638 0.313
Ho 0.434 0.239 0.195
Ho 0.566 0.761 0.805
Ho 0.675 0.362 0.687
Ho 0.675 0.987 0.313
Ho 0.820 0.279 0.099
Ho 0.820 0.721 0.541
Ho 0.955 0.761 0.195
Zn 0.000 0.000 0.000
Zn 0.500 0.500 0.000
Co 0.115 0.615 0.500
Co 0.334 0.000 0.334
Co 0.666 0.000 0.666
Co 0.885 0.385 0.500

Most intense lines, 2θ = 10–80°, by angle:
2θ/deg	d/Å	intensity
26.55	3.358	27
28.88	3.091	28
30.64	2.918	32
32.73	2.736	100
34.96	2.567	43
35.26	2.546	60
35.77	2.511	55
39.15	2.301	31
60.02	1.541	28
61.33	1.512	29

2.
# Ho3Zn2Co7
Calculated powder diffractogram, copper Kα. Input: a DFT-relaxed cell (PBE, Alexandria).
No peak broadening, texture or thermal motion is included.

Structural model:
abc: 8.611 8.611 8.611
angles: 34.05 34.05 34.05
Fractional positions:
Ho 0.000 0.000 0.000
Ho 0.140 0.140 0.140
Ho 0.860 0.860 0.860
Zn 0.334 0.334 0.334
Zn 0.666 0.666 0.666
Co 0.083 0.585 0.585
Co 0.415 0.415 0.917
Co 0.415 0.917 0.415
Co 0.500 0.500 0.500
Co 0.585 0.083 0.585
Co 0.585 0.585 0.083
Co 0.917 0.415 0.415

Most intense lines, 2θ = 10–80°, by angle:
2θ/deg	d/Å	intensity
32.95	2.718	47
35.61	2.521	60
36.01	2.494	37
41.53	2.175	37
42.22	2.141	100
45.54	1.992	14
62.28	1.491	15
68.50	1.370	23
68.87	1.363	15
75.41	1.261	22

3.
# HoZnCo
Calculated powder diffractogram, copper Kα. Input: a DFT-relaxed cell (PBE, Alexandria).
No peak broadening, texture or thermal motion is included.

Structural model:
abc: 5.287 5.287 6.821
angles: 123.67 123.67 44.38
Fractional positions:
Ho 0.067 0.067 0.317
Ho 0.933 0.933 0.683
Zn 0.313 0.313 0.911
Zn 0.687 0.687 0.089
Co 0.364 0.364 0.327
Co 0.636 0.636 0.673

Most intense lines, 2θ = 10–80°, by angle:
2θ/deg	d/Å	intensity
25.02	3.558	28
33.58	2.669	37
35.27	2.545	26
35.58	2.523	100
35.77	2.510	70
37.67	2.388	36
38.39	2.345	19
41.28	2.187	33
43.03	2.102	21
45.43	1.997	39

4.
# HoZn6Co6
Calculated powder diffractogram, copper Kα. Input: a DFT-relaxed cell (PBE, Alexandria).
No peak broadening, texture or thermal motion is included.

Structural model:
abc: 6.504 6.504 6.504
angles: 135.73 98.28 98.04
Fractional positions:
Ho 0.000 0.000 0.000
Zn 0.200 0.500 0.700
Zn 0.338 0.338 0.000
Zn 0.349 0.000 0.349
Zn 0.651 0.000 0.651
Zn 0.662 0.662 0.000
Zn 0.800 0.500 0.300
Co 0.000 0.000 0.500
Co 0.000 0.500 0.000
Co 0.235 0.735 0.500
Co 0.500 0.000 0.000
Co 0.500 0.500 0.500
Co 0.765 0.265 0.500

Most intense lines, 2θ = 10–80°, by angle:
2θ/deg	d/Å	intensity
29.70	3.008	16
36.57	2.457	44
36.67	2.451	16
42.45	2.130	100
42.54	2.125	67
47.74	1.905	14
47.85	1.901	25
70.01	1.344	16
77.61	1.230	21
77.77	1.228	15

5.
# Ho3ZrCo4
Calculated powder diffractogram, copper Kα. Input: a DFT-relaxed cell (PBE, Alexandria).
No peak broadening, texture or thermal motion is included.

Structural model:
abc: 3.285 3.285 13.203
angles: 90.00 90.00 90.00
Fractional positions:
Ho 0.000 0.000 0.000
Ho 0.000 0.000 0.252
Ho 0.000 0.000 0.748
Zr 0.000 0.000 0.500
Co 0.500 0.500 0.128
Co 0.500 0.500 0.390
Co 0.500 0.500 0.610
Co 0.500 0.500 0.872

Most intense lines, 2θ = 10–80°, by angle:
2θ/deg	d/Å	intensity
27.01	3.301	7
27.15	3.285	14
38.70	2.326	100
47.89	1.900	6
55.70	1.650	5
55.99	1.642	11
63.04	1.475	3
63.27	1.470	6
69.92	1.345	10
70.12	1.342	22

6.
# Ho3ZrCo8
Calculated powder diffractogram, copper Kα. Input: a DFT-relaxed cell (PBE, Alexandria).
No peak broadening, texture or thermal motion is included.

Structural model:
abc: 8.680 8.680 8.680
angles: 33.54 33.54 33.54
Fractional positions:
Ho 0.000 0.000 0.000
Ho 0.125 0.125 0.125
Ho 0.500 0.500 0.500
Zr 0.625 0.625 0.625
Co 0.058 0.562 0.562
Co 0.063 0.063 0.567
Co 0.063 0.567 0.063
Co 0.312 0.312 0.312
Co 0.562 0.058 0.562
Co 0.562 0.562 0.058
Co 0.567 0.063 0.063
Co 0.813 0.813 0.813

Most intense lines, 2θ = 10–80°, by angle:
2θ/deg	d/Å	intensity
10.81	8.185	1
20.80	4.271	2
21.73	4.090	12
35.85	2.505	62
42.31	2.136	100
44.29	2.045	16
56.63	1.625	3
64.43	1.446	22
68.86	1.363	30
75.98	1.252	22

7.
# Nd6CoIr2I3
Calculated powder diffractogram, copper Kα. Input: a DFT-relaxed cell (PBE, Alexandria).
No peak broadening, texture or thermal motion is included.

Structural model:
abc: 7.225 7.225 8.467
angles: 98.17 98.17 120.01
Fractional positions:
Nd 0.061 0.386 0.183
Nd 0.264 0.264 0.817
Nd 0.386 0.061 0.183
Nd 0.614 0.939 0.817
Nd 0.736 0.736 0.183
Nd 0.939 0.614 0.817
Co 0.000 0.000 0.000
Ir 0.333 0.667 0.000
Ir 0.667 0.333 0.000
I 0.167 0.833 0.500
I 0.500 0.500 0.500
I 0.833 0.167 0.500

Most intense lines, 2θ = 10–80°, by angle:
2θ/deg	d/Å	intensity
10.90	8.118	22
28.74	3.107	100
30.82	2.901	8
35.83	2.506	14
38.68	2.328	26
43.39	2.086	38
44.88	2.020	10
48.21	1.888	9
52.87	1.732	18
70.72	1.332	16

8.
# K4CoI6
Calculated powder diffractogram, copper Kα. Input: a DFT-relaxed cell (PBE, Alexandria).
No peak broadening, texture or thermal motion is included.

Structural model:
abc: 9.494 9.494 16.681
angles: 109.23 109.23 55.25
Fractional positions:
K 0.135 0.865 0.500
K 0.228 0.497 0.048
K 0.427 0.833 0.865
K 0.497 0.228 0.548
K 0.613 0.968 0.221
K 0.833 0.427 0.365
K 0.865 0.135 0.000
K 0.968 0.613 0.721
Co 0.308 0.830 0.270
Co 0.830 0.308 0.770
I 0.075 0.566 0.534
I 0.112 0.710 0.253
I 0.125 0.145 0.720
I 0.145 0.125 0.220
I 0.181 0.729 0.914
I 0.456 0.857 0.432
I 0.557 0.609 0.180
I 0.566 0.075 0.034
I 0.609 0.557 0.680
I 0.710 0.112 0.753
I 0.729 0.181 0.414
I 0.857 0.456 0.932

Most intense lines, 2θ = 10–80°, by angle:
2θ/deg	d/Å	intensity
11.36	7.789	33
18.89	4.697	62
21.34	4.164	55
22.35	3.978	38
22.45	3.960	53
22.97	3.871	33
23.22	3.830	100
23.94	3.717	72
32.88	2.724	59
38.32	2.349	38